The following is a theoretical powder diffractogram of Si7NiN10. It was derived from the GGA-PBE geometry in the Materials Project, using Cu Ka.
Kinematic intensities with the Lorentz-polarization factor, no thermal factor.

Top 8 peaks for 2θ from 10° to 90°, sorted by position:
d (Å), I_rel
5.603, 83
4.549, 100
3.977, 27
3.457, 32
3.096, 25
2.759, 28
2.441, 28
2.394, 23

Cell and atoms:
Cell: 6.6404 6.9621 9.6953 Å, 90.00 103.14 90.00°
Fractional positions:
Si (0.0000, 0.0174, 0.0000)
Si (0.0000, 0.9826, 0.5000)
Si (0.1120, 0.3604, 0.6650)
Si (0.1120, 0.6396, 0.1650)
Si (0.3033, 0.3813, 0.9892)
Si (0.3033, 0.6187, 0.4892)
Si (0.5734, 0.4007, 0.7523)
Si (0.5734, 0.5993, 0.2523)
Si (0.7564, 0.3766, 0.0595)
Si (0.7564, 0.6234, 0.5595)
Si (0.8062, 0.0183, 0.7001)
Si (0.8062, 0.9817, 0.2001)
Si (0.9427, 0.3665, 0.3631)
Si (0.9427, 0.6335, 0.8631)
Ni (0.4271, 0.1162, 0.8635)
Ni (0.4271, 0.8838, 0.3635)
N (0.0061, 0.1387, 0.6441)
N (0.0061, 0.8613, 0.1441)
N (0.1573, 0.4162, 0.4991)
N (0.1573, 0.5838, 0.9991)
N (0.2110, 0.1520, 0.9850)
N (0.2110, 0.8480, 0.4850)
N (0.3353, 0.3746, 0.8061)
N (0.3353, 0.6254, 0.3061)
N (0.5322, 0.4309, 0.1149)
N (0.5322, 0.5691, 0.6149)
N (0.6098, 0.1600, 0.7290)
N (0.6098, 0.8400, 0.2290)
N (0.7452, 0.4945, 0.9013)
N (0.7452, 0.5055, 0.4013)
N (0.7811, 0.1314, 0.0476)
N (0.7811, 0.8686, 0.5476)
N (0.9071, 0.1215, 0.3489)
N (0.9071, 0.8785, 0.8489)
N (0.9551, 0.4576, 0.1980)
N (0.9551, 0.5424, 0.6980)

***

The following is a theoretical powder diffractogram of SiNiN2. It was derived from the GGA-PBE geometry in the Materials Project, using Cu Ka.
Kinematic intensities with the Lorentz-polarization factor, no thermal factor.

Top 8 peaks for 2θ from 10° to 90°, sorted by position:
d (Å), I_rel
2.696, 44
2.579, 33
2.484, 57
2.370, 100
2.289, 34
1.511, 28
1.411, 32
1.291, 24

Cell and atoms:
Cell: 5.1585 6.3248 4.9676 Å, 90.00 90.00 90.00°
Fractional positions:
Si (0.0759, 0.1249, 0.0000)
Si (0.4241, 0.6249, 0.5000)
Si (0.5759, 0.3751, 0.0000)
Si (0.9241, 0.8751, 0.5000)
Ni (0.0723, 0.6249, 0.9964)
Ni (0.4277, 0.1249, 0.4964)
Ni (0.5723, 0.8751, 0.9964)
Ni (0.9277, 0.3751, 0.4964)
N (0.0587, 0.1000, 0.3519)
N (0.1005, 0.6516, 0.4018)
N (0.3995, 0.1516, 0.9018)
N (0.4413, 0.6000, 0.8519)
N (0.5587, 0.4000, 0.3519)
N (0.6005, 0.8484, 0.4018)
N (0.8995, 0.3484, 0.9018)
N (0.9413, 0.9000, 0.8519)

***

The following is a theoretical powder diffractogram of NiSn2N2. It was derived from the GGA-PBE geometry in the Materials Project, using Cu Ka.
Kinematic intensities with the Lorentz-polarization factor, no thermal factor.

Top 8 peaks for 2θ from 10° to 90°, sorted by position:
d (Å), I_rel
3.558, 28
3.050, 37
2.761, 100
2.450, 48
2.401, 25
1.746, 19
1.707, 18
1.667, 18

Cell and atoms:
Cell: 7.3478 3.4146 12.1991 Å, 90.00 90.00 90.00°
Fractional positions:
Ni (0.2241, 0.2500, 0.1292)
Ni (0.2759, 0.7500, 0.6292)
Ni (0.7241, 0.2500, 0.3708)
Ni (0.7759, 0.7500, 0.8708)
Sn (0.0011, 0.7500, 0.3467)
Sn (0.1364, 0.7500, 0.9126)
Sn (0.3636, 0.2500, 0.4126)
Sn (0.4989, 0.2500, 0.8467)
Sn (0.5011, 0.7500, 0.1533)
Sn (0.6364, 0.7500, 0.5874)
Sn (0.8636, 0.2500, 0.0874)
Sn (0.9989, 0.2500, 0.6533)
N (0.1606, 0.2500, 0.2788)
N (0.2113, 0.7500, 0.4752)
N (0.2887, 0.2500, 0.9752)
N (0.3394, 0.7500, 0.7788)
N (0.6606, 0.2500, 0.2212)
N (0.7113, 0.7500, 0.0248)
N (0.7887, 0.2500, 0.5248)
N (0.8394, 0.7500, 0.7212)

***

The following is a theoretical powder diffractogram of Sr2NiN2. It was derived from the GGA-PBE geometry in the Materials Project, using Cu Ka.
Kinematic intensities with the Lorentz-polarization factor, no thermal factor.

Top 8 peaks for 2θ from 10° to 90°, sorted by position:
d (Å), I_rel
2.832, 100
2.726, 77
2.087, 11
1.927, 26
1.657, 20
1.593, 36
1.416, 12
1.219, 11

Cell and atoms:
Cell: 7.7106 3.8539 12.5247 Å, 90.00 90.00 90.00°
Fractional positions:
Sr (0.1169, 0.2500, 0.1034)
Sr (0.1267, 0.2500, 0.3990)
Sr (0.3733, 0.7500, 0.8990)
Sr (0.3831, 0.7500, 0.6034)
Sr (0.6169, 0.2500, 0.3966)
Sr (0.6267, 0.2500, 0.1010)
Sr (0.8733, 0.7500, 0.6010)
Sr (0.8831, 0.7500, 0.8966)
Ni (0.1282, 0.2500, 0.7482)
Ni (0.3718, 0.7500, 0.2482)
Ni (0.6282, 0.2500, 0.7518)
Ni (0.8718, 0.7500, 0.2518)
N (0.1245, 0.2500, 0.8893)
N (0.1321, 0.2500, 0.6078)
N (0.3679, 0.7500, 0.1078)
N (0.3755, 0.7500, 0.3893)
N (0.6245, 0.2500, 0.6107)
N (0.6321, 0.2500, 0.8922)
N (0.8679, 0.7500, 0.3922)
N (0.8755, 0.7500, 0.1107)